Record 1
Starting from a crystal structure in the Materials Project, relaxed with PBE, the X-ray powder pattern of Zr6FeCl15 was computed for CuKα.
Peak positions follow from Bragg's law for the DFT cell and can differ from measured ones.

Principal peaks in the range 2θ = 10–90°, low angle first:
- d 7.334, 12.07°, I 100
- d 4.234, 20.98°, I 20
- d 2.772, 32.29°, I 22
- d 2.593, 34.59°, I 89
- d 1.834, 49.73°, I 57
- d 1.160, 83.34°, I 23

abc: 10.3719 10.3719 10.3719
angles: 90.00 90.00 90.00
Space group Im-3m (No. 229)
Symmetry-distinct sites (fractional):
Zr: 0.0000 0.0000 0.2392 [12 per cell]
Fe: 0.0000 0.0000 0.0000 [2 per cell]
Cl: 0.0000 0.0000 0.5000 [6 per cell]
Cl: 0.0000 0.2472 0.2472 [24 per cell]

Record 2
Starting from a crystal structure in the Materials Project, relaxed with PBE, the X-ray powder pattern of MgSb2O5 was computed for CuKα.
Peak positions follow from Bragg's law for the DFT cell and can differ from measured ones.

Principal peaks in the range 2θ = 10–90°, low angle first:
- d 5.175, 17.14°, I 100
- d 3.734, 23.83°, I 30
- d 3.588, 24.81°, I 65
- d 3.315, 26.89°, I 38
- d 3.239, 27.54°, I 38
- d 2.825, 31.68°, I 63

abc: 4.0040 10.3496 12.9547
angles: 90.00 90.00 90.00
Space group Cmcm (No. 63)
Symmetry-distinct sites (fractional):
Mg: 0.0000 0.0932 0.2500 [4 per cell]
Sb: 0.0000 0.2046 0.6065 [8 per cell]
O: 0.0000 0.0275 0.6354 [8 per cell]
O: 0.0000 0.2436 0.0889 [8 per cell]
O: 0.0000 0.3040 0.7500 [4 per cell]

What did the first record say?
Starting from a crystal structure in the Materials Project, relaxed with PBE, the X-ray powder pattern of Zr6FeCl15 was computed for CuKα.
Peak positions follow from Bragg's law for the DFT cell and can differ from measured ones.

Principal peaks in the range 2θ = 10–90°, low angle first:
- d 7.334, 12.07°, I 100
- d 4.234, 20.98°, I 20
- d 2.772, 32.29°, I 22
- d 2.593, 34.59°, I 89
- d 1.834, 49.73°, I 57
- d 1.160, 83.34°, I 23

abc: 10.3719 10.3719 10.3719
angles: 90.00 90.00 90.00
Space group Im-3m (No. 229)
Symmetry-distinct sites (fractional):
Zr: 0.0000 0.0000 0.2392 [12 per cell]
Fe: 0.0000 0.0000 0.0000 [2 per cell]
Cl: 0.0000 0.0000 0.5000 [6 per cell]
Cl: 0.0000 0.2472 0.2472 [24 per cell]